Diffraction record for Na2Tl3Hg5. The powder diffractogram is calculated, not measured: it uses a structure optimized by DFT (GGA-PBE) and a wavelength of 1.5418 Å.

Crystal structure
a b c (Å): 13.339 5.106 8.472
angles (deg): 90.00 95.77 90.00
Space group C2/m (No. 12)
Symmetry-distinct sites (fractional):
Na 0.022 0.000 0.286 [4 per cell]
Tl 0.000 0.500 0.000 [2 per cell]
Tl 0.206 0.500 0.341 [4 per cell]
Hg 0.000 0.500 0.500 [2 per cell]
Hg 0.155 0.000 0.988 [4 per cell]
Hg 0.174 0.500 0.749 [4 per cell]

Largest 10 diffraction maxima, low angle first, 2θ = 15–90°:
- 2θ 18.62, I 27, hkl 1 1 0
- 2θ 26.16, I 24, hkl 2 0 2
- 2θ 29.48, I 28, hkl 3 1 1
- 2θ 32.90, I 100, hkl 3 1 -2
- 2θ 35.15, I 44, hkl 0 2 0
- 2θ 35.52, I 37, hkl 3 1 2
- 2θ 38.21, I 24, hkl 5 1 0
- 2θ 40.79, I 16, hkl 6 0 0
- 2θ 54.91, I 16, hkl 6 2 0
- 2θ 61.65, I 18, hkl 3 3 -2